No. 1
Starting from a cell relaxed with GGA-PBE, the X-ray powder pattern of Tb2PrNdY2 was calculated for Cu Kα X-rays.
Peak positions follow from Bragg's law for the DFT cell and can differ from measured ones.

Atomic structure:
```
Tb2PrNdY2
1.0
6.6891 0.0000 0.0000
0.0000 17.9364 0.0000
0.0000 0.0000 3.4198
Tb Pr Nd Y
4 2 2 4
Cartesian
1.5283 3.2513 0.0000
1.8163 12.2195 1.7099
4.8728 5.7169 1.7099
5.1609 14.6851 0.0000
0.0000 0.0000 0.0000
3.3446 8.9682 1.7099
0.0000 8.9682 0.0000
3.3446 0.0000 1.7099
1.5111 6.2373 1.7099
1.8334 15.2055 0.0000
4.8557 2.7309 0.0000
5.1780 11.6991 1.7099
```

Most intense lines, 2θ = 10–90°, sorted by position:
two_theta, d [Å], I_rel
28.48, 3.134, 100
29.89, 2.989, 76
30.10, 2.969, 68
31.02, 2.883, 39
33.42, 2.681, 49
40.64, 2.220, 54

***

No. 2
Starting from a cell relaxed with GGA-PBE, the X-ray powder pattern of Tb2Pr2NdY2 was calculated for Cu Kα X-rays.
Peak positions follow from Bragg's law for the DFT cell and can differ from measured ones.

Atomic structure:
```
Tb2Pr2NdY2
1.0
11.9132 0.0000 0.0000
0.0000 3.5523 0.0000
-3.7971 0.0000 11.3375
Tb Pr Nd Y
4 4 2 4
Cartesian
1.3148 0.0000 4.1238
0.8447 1.7761 7.2137
7.2714 1.7761 4.1238
6.8013 0.0000 7.2137
1.7303 1.7761 0.9640
0.4292 0.0000 10.3735
7.6869 0.0000 0.9640
6.3858 1.7761 10.3735
-1.8986 0.0000 5.6687
4.0580 1.7761 5.6687
-2.3453 1.7761 8.7521
4.5047 0.0000 2.5854
3.6113 0.0000 8.7521
10.4613 1.7761 2.5854
```

Most intense lines, 2θ = 10–90°, sorted by position:
two_theta, d [Å], I_rel
28.19, 3.165, 56
30.08, 2.971, 73
30.47, 2.934, 87
32.04, 2.794, 100
32.42, 2.762, 59
34.88, 2.572, 79

***

No. 3
Starting from a cell relaxed with GGA-PBE, the X-ray powder pattern of TbPrNd2Y5 was calculated for Cu Kα X-rays.
Peak positions follow from Bragg's law for the DFT cell and can differ from measured ones.

Atomic structure:
```
TbPrNd2Y5
1.0
-4.3434 4.3434 7.9186
4.3434 -4.3434 7.9186
4.3434 4.3434 -7.9186
Tb Pr Nd Y
2 2 4 10
Cartesian
0.0000 0.0000 3.9593
0.0000 0.0000 11.8779
4.3434 0.0000 3.9593
0.0000 4.3434 3.9593
5.3720 1.0287 0.0000
1.0287 3.3147 0.0000
3.3147 1.0287 7.9186
-1.0287 3.3147 7.9186
0.0000 0.0000 0.0000
2.5380 1.8054 -2.1870
2.5380 -1.8054 5.7316
2.5380 1.8054 2.1870
2.5380 -1.8054 10.1055
0.0000 0.0000 7.9186
1.8054 6.1488 -2.1870
1.8054 2.5380 5.7316
1.8054 6.1488 2.1870
1.8054 2.5380 10.1055
```

Most intense lines, 2θ = 10–90°, sorted by position:
two_theta, d [Å], I_rel
28.53, 3.129, 57
29.07, 3.071, 50
30.55, 2.926, 100
37.77, 2.382, 21
43.20, 2.094, 21
52.47, 1.744, 22

***

No. 4
Starting from a cell relaxed with GGA-PBE, the X-ray powder pattern of Tb3PrNd6Y2 was calculated for Cu Kα X-rays.
Peak positions follow from Bragg's law for the DFT cell and can differ from measured ones.

Atomic structure:
```
Tb3PrNd6Y2
1.0
3.1554 -5.4646 0.0000
3.1554 5.4646 0.0000
-2.0999 0.0000 11.8122
Tb Pr Nd Y
3 1 6 2
Cartesian
0.0000 0.0000 0.0000
3.1554 1.8240 0.0000
3.1554 -1.8240 0.0000
2.1055 0.0000 5.9061
1.0494 1.8230 2.9295
0.0042 0.0000 8.8811
1.0494 -1.8230 2.9295
3.1615 1.8230 8.8827
4.2068 0.0000 2.9311
3.1615 -1.8230 8.8827
2.1055 3.6444 5.9061
2.1055 -3.6444 5.9061
```

Most intense lines, 2θ = 10–90°, sorted by position:
two_theta, d [Å], I_rel
30.06, 2.972, 100
30.27, 2.953, 33
34.91, 2.570, 67
50.07, 1.822, 24
50.34, 1.813, 24
59.64, 1.550, 28

***

No. 5
Starting from a cell relaxed with GGA-PBE, the X-ray powder pattern of TbPr5NdY2 was calculated for Cu Kα X-rays.
Peak positions follow from Bragg's law for the DFT cell and can differ from measured ones.

Atomic structure:
```
TbPr5NdY2
1.0
-4.7598 4.7598 7.1191
4.7598 -4.7598 7.1191
4.7598 4.7598 -7.1191
Tb Pr Nd Y
2 10 2 4
Cartesian
4.7598 0.0000 3.5596
0.0000 4.7598 3.5596
0.0000 0.0000 0.0000
6.6863 1.9265 -1.8966
1.9265 2.8332 -1.8966
6.6863 1.9265 1.8966
1.9265 2.8332 1.8966
0.0000 0.0000 7.1191
2.8332 1.9265 5.2225
-1.9265 2.8332 5.2225
2.8332 1.9265 9.0158
-1.9265 2.8332 9.0158
0.0000 0.0000 3.5596
0.0000 0.0000 10.6787
3.7285 1.0312 0.0000
3.7285 -1.0312 7.1191
1.0312 5.7910 0.0000
1.0312 3.7285 7.1191
```

Most intense lines, 2θ = 10–90°, sorted by position:
two_theta, d [Å], I_rel
26.48, 3.366, 62
28.16, 3.169, 39
31.38, 2.851, 100
34.55, 2.596, 15
39.54, 2.279, 18
49.92, 1.827, 21

***

No. 6
Starting from a cell relaxed with GGA-PBE, the X-ray powder pattern of Pr5NdTe8 was calculated for Cu Kα X-rays.
Peak positions follow from Bragg's law for the DFT cell and can differ from measured ones.

Atomic structure:
```
Pr5NdTe8
1.0
-4.7931 4.7931 4.8037
4.7931 -4.7931 4.8037
4.7931 4.7931 -4.8037
Pr Nd Te
5 1 8
Cartesian
0.0000 0.0000 0.0000
2.3947 3.6125 -1.1990
5.9738 2.3947 1.1990
2.3985 1.1807 3.6047
-1.1807 2.3985 6.0027
0.0000 4.7931 2.4018
5.5112 3.1063 -1.9293
3.1193 0.7259 0.4726
4.0672 -1.6738 4.3311
-0.7180 1.6869 2.8744
0.7259 6.4670 -0.4726
3.1063 4.0751 1.9293
1.6869 0.7180 6.7330
1.6738 4.0672 5.2763
```

Most intense lines, 2θ = 10–90°, sorted by position:
two_theta, d [Å], I_rel
29.44, 3.034, 100
35.00, 2.564, 71
42.13, 2.145, 16
46.37, 1.958, 15
59.42, 1.555, 19
62.77, 1.480, 15